# 1
Li2TaSe3: theoretical X-ray diffraction stick pattern (Cu Kα (λ = 1.5418 Å)), based on the PBE geometry in Alexandria.

Structure:
```
Li2TaSe3
1.0
0.0000 5.3425 11.1539
3.9388 0.0000 11.1539
3.9388 5.3425 0.0000
Li Ta Se
8 4 12
Direct
0.0348 0.0348 0.2152 Li
0.1272 0.1272 0.6228 Li
0.2152 0.2152 0.0348 Li
0.3772 0.3772 0.8728 Li
0.6228 0.6228 0.1272 Li
0.7848 0.7848 0.9652 Li
0.8728 0.8728 0.3772 Li
0.9652 0.9652 0.7848 Li
0.3067 0.3067 0.4433 Ta
0.4433 0.4433 0.3067 Ta
0.5567 0.5567 0.6933 Ta
0.6933 0.6933 0.5567 Ta
0.0395 0.5355 0.2340 Se
0.1156 0.6344 0.6344 Se
0.2340 0.6909 0.0395 Se
0.3091 0.7660 0.4645 Se
0.3656 0.8844 0.8844 Se
0.4645 0.9605 0.3091 Se
0.5355 0.0395 0.6909 Se
0.6344 0.1156 0.1156 Se
0.6909 0.2340 0.5355 Se
0.7660 0.3091 0.9605 Se
0.8844 0.3656 0.3656 Se
0.9605 0.4645 0.7660 Se
```

The 10 most intense peaks (10° ≤ 2θ ≤ 90°), low angle first:
- 2θ 14.5, rel. 100
- 2θ 18.4, rel. 33
- 2θ 31.4, rel. 19
- 2θ 33.1, rel. 77
- 2θ 33.5, rel. 42
- 2θ 43.2, rel. 19
- 2θ 46.1, rel. 22
- 2θ 47.9, rel. 53
- 2θ 58.2, rel. 19
- 2θ 79.4, rel. 14

=====

# 2
Pr2Y8Ho3: theoretical X-ray diffraction stick pattern (Cu Kα (λ = 1.5418 Å)), based on the PBE geometry in Alexandria.

Structure:
```
Pr2Y8Ho3
1.0
7.4047 -4.5559 0.0000
7.4047 4.5559 0.0000
-1.0316 0.0000 6.6946
Pr Y Ho
2 8 3
Direct
0.2071 0.2071 0.3001 Pr
0.7929 0.7929 0.6999 Pr
0.2008 0.2008 0.7886 Y
0.2062 0.5691 0.0678 Y
0.4176 0.4176 0.6320 Y
0.4309 0.7938 0.9322 Y
0.5691 0.2062 0.0678 Y
0.5824 0.5824 0.3680 Y
0.7938 0.4309 0.9322 Y
0.7992 0.7992 0.2114 Y
0.0000 0.0000 0.0000 Ho
0.1694 0.8306 0.5000 Ho
0.8306 0.1694 0.5000 Ho
```

The 10 most intense peaks (10° ≤ 2θ ≤ 90°), low angle first:
- 2θ 11.4, rel. 25
- 2θ 25.7, rel. 38
- 2θ 31.0, rel. 84
- 2θ 31.6, rel. 100
- 2θ 32.1, rel. 89
- 2θ 32.6, rel. 74
- 2θ 33.2, rel. 23
- 2θ 33.3, rel. 56
- 2θ 34.8, rel. 30
- 2θ 53.3, rel. 30

=====

# 3
Rb2PaSn3O12: theoretical X-ray diffraction stick pattern (Cu Kα (λ = 1.5418 Å)), based on the PBE geometry in Alexandria.

Structure:
```
Rb2PaSn3O12
1.0
3.7816 2.1833 6.4892
-3.7816 2.1833 6.4892
0.0000 -4.3666 6.4892
Rb Pa Sn O
2 1 3 12
Direct
0.1170 0.1170 0.1170 Rb
0.8830 0.8830 0.8830 Rb
0.5000 0.5000 0.5000 Pa
0.0000 0.5000 0.5000 Sn
0.5000 0.0000 0.5000 Sn
0.5000 0.5000 0.0000 Sn
0.1712 0.5721 0.5721 O
0.1731 0.1731 0.5807 O
0.1731 0.5807 0.1731 O
0.4193 0.8269 0.8269 O
0.4279 0.4279 0.8288 O
0.4279 0.8288 0.4279 O
0.5721 0.1712 0.5721 O
0.5721 0.5721 0.1712 O
0.5807 0.1731 0.1731 O
0.8269 0.4193 0.8269 O
0.8269 0.8269 0.4193 O
0.8288 0.4279 0.4279 O
```

The 10 most intense peaks (10° ≤ 2θ ≤ 90°), low angle first:
- 2θ 14.3, rel. 73
- 2θ 26.6, rel. 62
- 2θ 27.3, rel. 100
- 2θ 27.5, rel. 21
- 2θ 28.8, rel. 76
- 2θ 43.3, rel. 25
- 2θ 43.7, rel. 30
- 2θ 46.5, rel. 39
- 2θ 48.1, rel. 38
- 2θ 56.3, rel. 22

=====

# 4
CuCl: theoretical X-ray diffraction stick pattern (Cu Kα (λ = 1.5418 Å)), based on the PBE geometry in Alexandria.

Structure:
```
CuCl
1.0
3.9794 0.0000 0.0000
0.0000 3.9794 0.0000
0.0000 0.0000 12.7178
Cu Cl
4 4
Direct
0.0000 0.0000 0.0000 Cu
0.0000 0.5000 0.5000 Cu
0.5000 0.0000 0.5000 Cu
0.5000 0.5000 0.0000 Cu
0.2500 0.2500 0.1282 Cl
0.2500 0.2500 0.6282 Cl
0.7500 0.7500 0.3718 Cl
0.7500 0.7500 0.8718 Cl
```

The 10 most intense peaks (10° ≤ 2θ ≤ 90°), low angle first:
- 2θ 13.9, rel. 100
- 2θ 26.4, rel. 27
- 2θ 31.8, rel. 8
- 2θ 32.6, rel. 54
- 2θ 38.4, rel. 34
- 2θ 47.9, rel. 18
- 2θ 48.2, rel. 17
- 2θ 54.4, rel. 26
- 2θ 60.7, rel. 8
- 2θ 76.0, rel. 8

=====

# 5
CeV2S4: theoretical X-ray diffraction stick pattern (Cu Kα (λ = 1.5418 Å)), based on the PBE geometry in Alexandria.

Structure:
```
CeV2S4
1.0
0.0000 5.5048 6.1302
3.9496 0.0000 6.1302
3.9496 5.5048 0.0000
Ce V S
2 4 8
Direct
0.0000 0.0000 0.0000 Ce
0.2500 0.2500 0.2500 Ce
0.1243 0.6259 0.6246 V
0.6246 0.6252 0.1243 V
0.6252 0.6246 0.6259 V
0.6259 0.1243 0.6252 V
0.3106 0.8492 0.4916 S
0.3486 0.4916 0.8492 S
0.4007 0.9392 0.9018 S
0.4916 0.3486 0.3106 S
0.7583 0.9018 0.9392 S
0.8492 0.3106 0.3486 S
0.9018 0.7583 0.4007 S
0.9392 0.4007 0.7583 S
```

The 10 most intense peaks (10° ≤ 2θ ≤ 90°), low angle first:
- 2θ 21.7, rel. 100
- 2θ 25.8, rel. 46
- 2θ 27.8, rel. 87
- 2θ 34.8, rel. 36
- 2θ 35.8, rel. 97
- 2θ 39.3, rel. 66
- 2θ 40.7, rel. 32
- 2θ 42.7, rel. 36
- 2θ 43.3, rel. 42
- 2θ 44.2, rel. 45

=====

# 6
Hf8MgN8O4: theoretical X-ray diffraction stick pattern (Cu Kα (λ = 1.5418 Å)), based on the PBE geometry in Alexandria.

Structure:
```
Hf8MgN8O4
1.0
5.4416 0.0000 0.0000
2.6984 4.7874 0.0000
1.1247 1.5189 10.1167
Hf Mg N O
8 1 8 4
Direct
0.0000 0.0000 0.0000 Hf
0.0066 0.4431 0.7565 Hf
0.0272 0.5083 0.4607 Hf
0.3394 0.3564 0.9995 Hf
0.3669 0.9300 0.2472 Hf
0.3746 0.8066 0.5458 Hf
0.6785 0.1004 0.7280 Hf
0.6972 0.2486 0.2772 Hf
0.6927 0.6615 0.0043 Mg
0.0229 0.2656 0.1269 N
0.3310 0.4472 0.6207 N
0.3615 0.1758 0.3793 N
0.6506 0.5631 0.3842 N
0.6692 0.9888 0.1242 N
0.6959 0.3482 0.8763 N
0.7185 0.7694 0.6231 N
0.9956 0.7217 0.8768 N
0.0124 0.1544 0.6202 O
0.0324 0.8798 0.3756 O
0.3568 0.0620 0.8770 O
0.3798 0.6255 0.1220 O
```

The 10 most intense peaks (10° ≤ 2θ ≤ 90°), low angle first:
- 2θ 19.5, rel. 28
- 2θ 22.3, rel. 35
- 2θ 26.1, rel. 35
- 2θ 30.0, rel. 56
- 2θ 33.1, rel. 100
- 2θ 33.3, rel. 51
- 2θ 34.9, rel. 26
- 2θ 35.5, rel. 39
- 2θ 38.4, rel. 26
- 2θ 38.7, rel. 22

=====

# 7
Cs6AgI: theoretical X-ray diffraction stick pattern (Cu Kα (λ = 1.5418 Å)), based on the PBE geometry in Alexandria.

Structure:
```
Cs6AgI
1.0
9.4502 0.0000 0.0000
-4.7251 8.1841 0.0000
0.0000 0.0000 18.1897
Cs Ag I
12 2 2
Direct
0.0051 0.3303 0.1217 Cs
0.0051 0.6749 0.3783 Cs
0.3251 0.3303 0.3783 Cs
0.3251 0.9949 0.1217 Cs
0.3303 0.0051 0.6217 Cs
0.3303 0.3251 0.8783 Cs
0.6697 0.6749 0.1217 Cs
0.6697 0.9949 0.3783 Cs
0.6749 0.0051 0.8783 Cs
0.6749 0.6697 0.6217 Cs
0.9949 0.3251 0.6217 Cs
0.9949 0.6697 0.8783 Cs
0.0000 0.0000 0.0000 Ag
0.0000 0.0000 0.5000 Ag
0.3333 0.6667 0.2500 I
0.6667 0.3333 0.7500 I
```

The 10 most intense peaks (10° ≤ 2θ ≤ 90°), low angle first:
- 2θ 14.6, rel. 16
- 2θ 21.2, rel. 100
- 2θ 27.2, rel. 47
- 2θ 32.8, rel. 37
- 2θ 35.2, rel. 27
- 2θ 38.5, rel. 13
- 2θ 39.4, rel. 19
- 2θ 43.2, rel. 13
- 2θ 52.2, rel. 17
- 2θ 52.4, rel. 19

=====

# 8
TbDy2Tm12: theoretical X-ray diffraction stick pattern (Cu Kα (λ = 1.5418 Å)), based on the PBE geometry in Alexandria.

Structure:
```
TbDy2Tm12
1.0
3.5761 0.0000 0.0000
0.0000 5.5718 0.0000
-1.7793 0.0000 23.0536
Tb Dy Tm
1 2 12
Direct
0.0000 0.0000 0.0000 Tb
0.1418 0.0000 0.2852 Dy
0.8582 0.0000 0.7148 Dy
0.0963 0.5000 0.1931 Tm
0.2207 0.5000 0.4429 Tm
0.2886 0.0000 0.5747 Tm
0.3397 0.5000 0.6775 Tm
0.4274 0.0000 0.8526 Tm
0.4632 0.5000 0.9327 Tm
0.5368 0.5000 0.0673 Tm
0.5726 0.0000 0.1474 Tm
0.6603 0.5000 0.3225 Tm
0.7114 0.0000 0.4253 Tm
0.7793 0.5000 0.5571 Tm
0.9037 0.5000 0.8069 Tm
```

The 10 most intense peaks (10° ≤ 2θ ≤ 90°), low angle first:
- 2θ 30.5, rel. 16
- 2θ 31.0, rel. 14
- 2θ 31.6, rel. 31
- 2θ 32.1, rel. 46
- 2θ 32.7, rel. 100
- 2θ 34.6, rel. 25
- 2θ 35.1, rel. 18
- 2θ 57.7, rel. 20
- 2θ 59.5, rel. 13
- 2θ 61.6, rel. 15

=====

# 9
Ca2CuAu7: theoretical X-ray diffraction stick pattern (Cu Kα (λ = 1.5418 Å)), based on the PBE geometry in Alexandria.

Structure:
```
Ca2CuAu7
1.0
3.9976 0.0000 0.0000
0.0000 3.9976 0.0000
0.0000 0.0000 13.3402
Ca Cu Au
2 1 7
Direct
0.0000 0.5000 0.2450 Ca
0.5000 0.0000 0.7550 Ca
0.5000 0.5000 0.0000 Cu
0.0000 0.0000 0.0000 Au
0.0000 0.0000 0.5000 Au
0.0000 0.5000 0.6544 Au
0.0000 0.5000 0.8566 Au
0.5000 0.0000 0.1434 Au
0.5000 0.0000 0.3456 Au
0.5000 0.5000 0.5000 Au
```

The 10 most intense peaks (10° ≤ 2θ ≤ 90°), low angle first:
- 2θ 13.3, rel. 28
- 2θ 23.2, rel. 88
- 2θ 34.5, rel. 100
- 2θ 40.6, rel. 74
- 2θ 41.9, rel. 92
- 2θ 45.4, rel. 57
- 2θ 51.6, rel. 22
- 2θ 62.5, rel. 55
- 2θ 79.4, rel. 21
- 2θ 81.4, rel. 28

=====

# 10
Zn2InGa2: theoretical X-ray diffraction stick pattern (Cu Kα (λ = 1.5418 Å)), based on the PBE geometry in Alexandria.

Structure:
```
Zn2InGa2
1.0
7.7940 0.0000 0.0000
0.0000 7.7940 0.0000
0.0000 0.0000 3.1868
Zn In Ga
4 2 4
Direct
0.1219 0.3781 0.0000 Zn
0.3781 0.8781 0.0000 Zn
0.6219 0.1219 0.0000 Zn
0.8781 0.6219 0.0000 Zn
0.0000 0.0000 0.0000 In
0.5000 0.5000 0.0000 In
0.1752 0.6752 0.5000 Ga
0.3248 0.1752 0.5000 Ga
0.6752 0.8248 0.5000 Ga
0.8248 0.3248 0.5000 Ga
```

The 10 most intense peaks (10° ≤ 2θ ≤ 90°), low angle first:
- 2θ 32.5, rel. 25
- 2θ 36.4, rel. 100
- 2θ 38.3, rel. 69
- 2θ 41.8, rel. 10
- 2θ 46.6, rel. 14
- 2θ 48.1, rel. 7
- 2θ 57.9, rel. 19
- 2θ 60.6, rel. 7
- 2θ 68.0, rel. 26
- 2θ 70.4, rel. 19